Simulated powder XRD pattern
Compound: VO2
Radiation: a wavelength of 1.5418 Å
Structure: a crystal structure in the Materials Project, relaxed with PBE+U
Kinematic intensities with the Lorentz-polarization factor, no thermal factor.

Main lines, by angle (5° ≤ 2θ ≤ 70°):
- hkl 0 0 1, 2θ 18.47, I = 100.0
- hkl 1 1 0, 2θ 34.75, I = 23.2
- hkl 2 0 -1, 2θ 36.47, I = 8.9
- hkl 1 1 1, 2θ 42.42, I = 35.6
- hkl 2 0 -2, 2θ 44.50, I = 14.7
- hkl 1 1 2, 2θ 56.51, I = 10.4
- hkl 0 2 0, 2θ 60.36, I = 5.4
- hkl 1 1 -3, 2θ 63.03, I = 7.2
- hkl 3 1 -1, 2θ 63.28, I = 9.2
- hkl 0 2 1, 2θ 63.70, I = 5.1

Atomic structure:
a = 5.024 Å, b = 3.067 Å, c = 5.048 Å
α = 90.00°, β = 107.92°, γ = 90.00°
Positions (direct):
V (0.000, 0.000, 0.000)
V (0.500, 0.500, 0.000)
O (0.238, 0.500, 0.201)
O (0.262, 0.000, 0.799)
O (0.738, 0.000, 0.201)
O (0.762, 0.500, 0.799)

Simulated powder XRD pattern
Compound: VO2
Radiation: a wavelength of 1.5418 Å
Structure: a crystal structure in the Materials Project, relaxed with PBE+U
Kinematic intensities with the Lorentz-polarization factor, no thermal factor.

Main lines, by angle (5° ≤ 2θ ≤ 70°):
- hkl 0 1 1, 2θ 14.55, I = 100.0
- hkl 2 1 0, 2θ 25.21, I = 68.2
- hkl 0 2 2, 2θ 29.34, I = 78.1
- hkl 2 2 1, 2θ 32.79, I = 73.7
- hkl 0 3 3, 2θ 44.65, I = 58.1
- hkl 4 0 0, 2θ 46.90, I = 33.9
- hkl 4 2 2, 2θ 56.29, I = 20.9
- hkl 2 2 5, 2θ 62.68, I = 15.8
- hkl 2 5 2, 2θ 63.07, I = 14.6
- hkl 4 3 3, 2θ 66.75, I = 27.4

Atomic structure:
a = 7.749 Å, b = 8.572 Å, c = 8.651 Å
α = 90.00°, β = 90.00°, γ = 90.00°
Positions (direct):
V (0.000, 0.000, 0.000)
V (0.000, 0.000, 0.402)
V (0.002, 0.299, 0.703)
V (0.250, 0.213, 0.212)
V (0.250, 0.503, 0.902)
V (0.250, 0.513, 0.509)
V (0.250, 0.801, 0.200)
V (0.498, 0.299, 0.703)
V (0.500, 0.000, 0.000)
V (0.500, 0.000, 0.402)
V (0.502, 0.701, 0.703)
V (0.750, 0.199, 0.200)
V (0.750, 0.487, 0.509)
V (0.750, 0.497, 0.902)
V (0.750, 0.787, 0.212)
V (0.998, 0.701, 0.703)
O (0.000, 0.500, 0.561)
O (0.000, 0.500, 0.860)
O (0.001, 0.156, 0.877)
O (0.001, 0.161, 0.559)
O (0.006, 0.151, 0.207)
O (0.250, 0.334, 0.059)
O (0.250, 0.334, 0.370)
O (0.250, 0.351, 0.710)
O (0.250, 0.652, 0.707)
O (0.250, 0.655, 0.373)
O (0.250, 0.660, 0.058)
O (0.250, 0.994, 0.353)
O (0.250, 0.996, 0.056)
O (0.494, 0.151, 0.207)
O (0.499, 0.156, 0.877)
O (0.499, 0.161, 0.559)
O (0.500, 0.500, 0.561)
O (0.500, 0.500, 0.860)
O (0.501, 0.839, 0.559)
O (0.501, 0.844, 0.877)
O (0.506, 0.849, 0.207)
O (0.750, 0.004, 0.056)
O (0.750, 0.006, 0.353)
O (0.750, 0.340, 0.058)
O (0.750, 0.345, 0.373)
O (0.750, 0.348, 0.707)
O (0.750, 0.649, 0.710)
O (0.750, 0.666, 0.059)
O (0.750, 0.666, 0.370)
O (0.994, 0.849, 0.207)
O (0.999, 0.839, 0.559)
O (0.999, 0.844, 0.877)